The following is a theoretical powder diffraction line list of ThWO3. It was derived from a DFT-relaxed cell (PBE+U, the Materials Project), using Cu Ka.
Neutral-atom scattering factors, no anomalous dispersion.

Most intense lines, 2θ = 10–90°, by angle:
| two_theta | d [Å] | I/Imax |
| --- | --- | --- |
| 30.6 | 2.924 | 100 |
| 37.7 | 2.387 | 2 |
| 43.8 | 2.068 | 26 |
| 54.3 | 1.688 | 42 |
| 63.6 | 1.462 | 17 |
| 72.3 | 1.308 | 18 |
| 76.4 | 1.247 | 1 |
| 80.5 | 1.194 | 6 |
| 88.5 | 1.105 | 23 |

Crystal structure
a b c (Å): 4.135 4.135 4.135
angles (deg): 90.00 90.00 90.00
Atoms (fractional coordinates):
Th  0.000  0.000  0.000
W  0.500  0.500  0.500
O  0.000  0.500  0.500
O  0.500  0.000  0.500
O  0.500  0.500  0.000

=====

The following is a theoretical powder diffraction line list of TiVO4. It was derived from a DFT-relaxed cell (PBE+U, the Materials Project), using Cu Ka.
Neutral-atom scattering factors, no anomalous dispersion.

Most intense lines, 2θ = 10–90°, by angle:
| two_theta | d [Å] | I/Imax |
| --- | --- | --- |
| 27.4 | 3.250 | 100 |
| 27.6 | 3.232 | 97 |
| 35.7 | 2.512 | 100 |
| 40.9 | 2.206 | 21 |
| 54.1 | 1.696 | 60 |
| 54.3 | 1.690 | 58 |
| 56.6 | 1.625 | 18 |
| 57.0 | 1.616 | 18 |
| 61.8 | 1.502 | 18 |
| 68.9 | 1.362 | 65 |

Crystal structure
a b c (Å): 6.463 6.500 3.003
angles (deg): 90.00 90.00 90.00
Atoms (fractional coordinates):
Ti  0.000  0.000  0.000
Ti  0.500  0.500  0.000
V  0.000  0.500  0.500
V  0.500  0.000  0.500
O  0.000  0.304  0.000
O  0.000  0.696  0.000
O  0.199  0.000  0.500
O  0.301  0.500  0.500
O  0.500  0.196  0.000
O  0.500  0.804  0.000
O  0.699  0.500  0.500
O  0.801  0.000  0.500

=====

The following is a theoretical powder diffraction line list of Ti3V5O16. It was derived from a DFT-relaxed cell (PBE+U, the Materials Project), using Cu Ka.
Neutral-atom scattering factors, no anomalous dispersion.

Most intense lines, 2θ = 10–90°, by angle:
| two_theta | d [Å] | I/Imax |
| --- | --- | --- |
| 19.7 | 4.511 | 84 |
| 19.9 | 4.471 | 100 |
| 20.0 | 4.440 | 54 |
| 26.3 | 3.391 | 43 |
| 34.6 | 2.596 | 26 |
| 36.1 | 2.487 | 22 |
| 36.3 | 2.474 | 58 |
| 40.3 | 2.236 | 44 |
| 46.4 | 1.955 | 54 |
| 62.9 | 1.477 | 71 |

Crystal structure
a b c (Å): 5.908 5.908 9.021
angles (deg): 90.10 90.10 60.62
Atoms (fractional coordinates):
Ti  0.000  0.000  0.000
Ti  0.326  0.829  0.505
Ti  0.829  0.326  0.505
V  0.331  0.331  0.497
V  0.496  0.496  0.779
V  0.501  0.998  0.003
V  0.826  0.826  0.278
V  0.998  0.501  0.003
O  0.113  0.686  0.131
O  0.163  0.163  0.605
O  0.166  0.166  0.106
O  0.212  0.632  0.630
O  0.338  0.829  0.898
O  0.342  0.342  0.896
O  0.499  0.499  0.390
O  0.508  0.994  0.398
O  0.632  0.212  0.630
O  0.637  0.637  0.638
O  0.686  0.113  0.131
O  0.688  0.688  0.130
O  0.829  0.338  0.898
O  0.833  0.833  0.892
O  0.992  0.992  0.397
O  0.994  0.508  0.398

=====

The following is a theoretical powder diffraction line list of TiVO4. It was derived from a DFT-relaxed cell (PBE+U, the Materials Project), using Cu Ka.
Neutral-atom scattering factors, no anomalous dispersion.

Most intense lines, 2θ = 10–90°, by angle:
| two_theta | d [Å] | I/Imax |
| --- | --- | --- |
| 24.7 | 3.607 | 99 |
| 25.7 | 3.460 | 100 |
| 37.0 | 2.429 | 42 |
| 46.8 | 1.942 | 31 |
| 49.2 | 1.851 | 26 |
| 52.7 | 1.738 | 16 |
| 53.2 | 1.721 | 23 |
| 54.2 | 1.694 | 21 |
| 55.8 | 1.647 | 16 |
| 61.1 | 1.517 | 17 |

Crystal structure
a b c (Å): 3.703 3.884 9.716
angles (deg): 90.00 90.00 90.00
Atoms (fractional coordinates):
Ti  0.000  0.000  0.000
Ti  0.500  0.500  0.500
V  0.000  0.500  0.237
V  0.500  0.000  0.737
O  0.000  0.000  0.199
O  0.000  0.000  0.780
O  0.000  0.500  0.039
O  0.000  0.500  0.450
O  0.500  0.000  0.539
O  0.500  0.000  0.950
O  0.500  0.500  0.280
O  0.500  0.500  0.699

=====

The following is a theoretical powder diffraction line list of Ti3V2O9. It was derived from a DFT-relaxed cell (PBE+U, the Materials Project), using Cu Ka.
Neutral-atom scattering factors, no anomalous dispersion.

Most intense lines, 2θ = 10–90°, by angle:
| two_theta | d [Å] | I/Imax |
| --- | --- | --- |
| 21.2 | 4.184 | 56 |
| 26.6 | 3.355 | 100 |
| 27.6 | 3.233 | 87 |
| 27.8 | 3.204 | 50 |
| 28.1 | 3.176 | 40 |
| 33.8 | 2.655 | 58 |
| 43.5 | 2.082 | 42 |
| 47.5 | 1.913 | 29 |
| 53.9 | 1.700 | 27 |
| 56.6 | 1.626 | 31 |

Crystal structure
a b c (Å): 10.870 10.870 6.942
angles (deg): 104.39 104.39 28.28
Atoms (fractional coordinates):
Ti  0.000  0.000  0.000
Ti  0.000  0.000  0.500
Ti  0.086  0.266  0.058
Ti  0.266  0.086  0.558
Ti  0.734  0.914  0.442
Ti  0.914  0.734  0.942
V  0.384  0.489  0.584
V  0.489  0.384  0.084
V  0.511  0.616  0.916
V  0.616  0.511  0.416
O  0.050  0.138  0.509
O  0.138  0.050  0.009
O  0.188  0.812  0.750
O  0.207  0.207  0.338
O  0.207  0.207  0.838
O  0.264  0.442  0.980
O  0.316  0.641  0.380
O  0.359  0.684  0.120
O  0.442  0.264  0.480
O  0.558  0.736  0.520
O  0.641  0.316  0.880
O  0.684  0.359  0.620
O  0.736  0.558  0.020
O  0.793  0.793  0.162
O  0.793  0.793  0.662
O  0.812  0.188  0.250
O  0.862  0.950  0.991
O  0.950  0.862  0.491

=====

The following is a theoretical powder diffraction line list of TiVO4. It was derived from a DFT-relaxed cell (PBE+U, the Materials Project), using Cu Ka.
Neutral-atom scattering factors, no anomalous dispersion.

Most intense lines, 2θ = 10–90°, by angle:
| two_theta | d [Å] | I/Imax |
| --- | --- | --- |
| 24.8 | 3.596 | 99 |
| 25.6 | 3.481 | 100 |
| 36.9 | 2.433 | 41 |
| 47.0 | 1.935 | 31 |
| 48.9 | 1.864 | 25 |
| 52.6 | 1.739 | 16 |
| 53.1 | 1.725 | 23 |
| 54.2 | 1.691 | 20 |
| 55.5 | 1.655 | 16 |
| 61.2 | 1.514 | 15 |

Crystal structure
a b c (Å): 3.869 3.727 9.732
angles (deg): 90.00 90.00 90.00
Atoms (fractional coordinates):
Ti  0.000  0.242  0.000
Ti  0.500  0.758  0.500
V  0.000  0.717  0.262
V  0.500  0.283  0.762
O  0.000  0.243  0.802
O  0.000  0.248  0.220
O  0.000  0.745  0.461
O  0.000  0.748  0.051
O  0.500  0.252  0.551
O  0.500  0.255  0.961
O  0.500  0.752  0.720
O  0.500  0.757  0.302

=====

The following is a theoretical powder diffraction line list of TiVO4. It was derived from a DFT-relaxed cell (PBE+U, the Materials Project), using Cu Ka.
Neutral-atom scattering factors, no anomalous dispersion.

Most intense lines, 2θ = 10–90°, by angle:
| two_theta | d [Å] | I/Imax |
| --- | --- | --- |
| 27.5 | 3.245 | 100 |
| 35.8 | 2.507 | 52 |
| 41.0 | 2.200 | 20 |
| 54.2 | 1.693 | 60 |
| 56.7 | 1.623 | 19 |
| 62.0 | 1.497 | 9 |
| 64.2 | 1.451 | 9 |
| 68.9 | 1.362 | 21 |
| 69.1 | 1.359 | 11 |
| 89.0 | 1.100 | 9 |

Crystal structure
a b c (Å): 5.480 5.480 5.480
angles (deg): 107.37 107.37 113.77
Atoms (fractional coordinates):
Ti  0.000  0.000  0.000
Ti  0.750  0.250  0.500
V  0.246  0.746  0.500
V  0.496  0.496  0.000
O  0.047  0.243  0.804
O  0.439  0.243  0.196
O  0.498  0.201  0.703
O  0.498  0.794  0.297
O  0.544  0.748  0.797
O  0.951  0.748  0.203
O  0.993  0.297  0.304
O  0.993  0.689  0.696

=====

The following is a theoretical powder diffraction line list of TiVO4. It was derived from a DFT-relaxed cell (PBE+U, the Materials Project), using Cu Ka.
Neutral-atom scattering factors, no anomalous dispersion.

Most intense lines, 2θ = 10–90°, by angle:
| two_theta | d [Å] | I/Imax |
| --- | --- | --- |
| 24.8 | 3.596 | 98 |
| 25.6 | 3.479 | 100 |
| 36.9 | 2.434 | 41 |
| 47.0 | 1.935 | 31 |
| 48.9 | 1.862 | 25 |
| 52.6 | 1.739 | 16 |
| 53.2 | 1.723 | 12 |
| 54.2 | 1.691 | 20 |
| 55.6 | 1.654 | 16 |
| 70.1 | 1.342 | 14 |

Crystal structure
a b c (Å): 3.725 3.870 19.470
angles (deg): 89.98 89.78 89.98
Atoms (fractional coordinates):
Ti  0.000  0.000  0.000
Ti  0.006  0.000  0.500
Ti  0.501  0.499  0.750
Ti  0.518  0.499  0.250
V  0.041  0.499  0.619
V  0.044  0.499  0.119
V  0.482  0.999  0.369
V  0.540  0.999  0.869
O  0.003  0.999  0.599
O  0.005  0.999  0.099
O  0.008  0.499  0.724
O  0.009  0.998  0.890
O  0.012  0.499  0.020
O  0.012  0.999  0.390
O  0.013  0.500  0.224
O  0.016  0.499  0.520
O  0.502  0.499  0.849
O  0.507  0.999  0.269
O  0.508  0.999  0.974
O  0.510  0.499  0.640
O  0.511  0.000  0.474
O  0.511  0.000  0.770
O  0.513  0.499  0.140
O  0.521  0.499  0.349